Diffraction record for Dy6ZnCd. The powder diffraction line list is simulated, not measured: it uses a structure optimized by DFT (GGA-PBE) and copper Kα.
Peak positions follow from Bragg's law for the DFT cell and can differ from measured ones.

Atomic structure:
abc: 9.489 9.489 9.489
angles: 149.06 149.06 44.32
Fractional coordinates of all 8 atoms:
1 Dy 0.109 0.609 0.500
2 Dy 0.250 0.250 0.000
3 Dy 0.391 0.891 0.500
4 Dy 0.609 0.109 0.500
5 Dy 0.750 0.750 0.000
6 Dy 0.891 0.391 0.500
7 Zn 0.000 0.000 0.000
8 Cd 0.500 0.500 0.000

The 12 most intense peaks (10° ≤ 2θ ≤ 90°), in order of rising 2θ:
2θ/deg	Rel. int.
26.90	9
32.26	100
35.47	43
41.09	10
47.47	7
51.03	15
55.38	16
58.50	7
61.67	31
67.50	9
84.06	7
85.86	7

Diffraction record for Dy6Zn3Cd. The powder diffraction line list is simulated, not measured: it uses a structure optimized by DFT (GGA-PBE) and copper Kα.
Peak positions follow from Bragg's law for the DFT cell and can differ from measured ones.

Atomic structure:
abc: 9.588 4.982 10.642
angles: 90.00 97.66 90.00
Fractional coordinates of all 20 atoms:
1 Dy 0.068 0.250 0.406
2 Dy 0.136 0.750 0.180
3 Dy 0.220 0.250 0.962
4 Dy 0.279 0.750 0.757
5 Dy 0.376 0.250 0.255
6 Dy 0.422 0.250 0.588
7 Dy 0.578 0.750 0.412
8 Dy 0.624 0.750 0.745
9 Dy 0.721 0.250 0.243
10 Dy 0.780 0.750 0.038
11 Dy 0.864 0.250 0.820
12 Dy 0.932 0.750 0.594
13 Zn 0.024 0.750 0.888
14 Zn 0.118 0.250 0.683
15 Zn 0.267 0.750 0.459
16 Zn 0.733 0.250 0.541
17 Zn 0.882 0.750 0.317
18 Zn 0.976 0.250 0.112
19 Cd 0.450 0.750 0.076
20 Cd 0.550 0.250 0.924

The 12 most intense peaks (10° ≤ 2θ ≤ 90°), in order of rising 2θ:
2θ/deg	Rel. int.
25.51	21
30.53	13
31.14	21
33.56	92
33.65	100
35.92	11
36.06	56
36.71	35
38.34	16
43.84	11
52.40	25
63.27	30

Diffraction record for Dy3Zn4Cd4. The powder diffraction line list is simulated, not measured: it uses a structure optimized by DFT (GGA-PBE) and copper Kα.
Peak positions follow from Bragg's law for the DFT cell and can differ from measured ones.

Atomic structure:
abc: 8.695 8.695 8.695
angles: 151.99 128.01 60.09
Fractional coordinates of all 11 atoms:
1 Dy 0.000 0.000 0.000
2 Dy 0.380 0.880 0.500
3 Dy 0.620 0.120 0.500
4 Zn 0.228 0.228 0.000
5 Zn 0.323 0.500 0.823
6 Zn 0.677 0.500 0.177
7 Zn 0.772 0.772 0.000
8 Cd 0.026 0.333 0.693
9 Cd 0.359 0.667 0.693
10 Cd 0.641 0.333 0.307
11 Cd 0.974 0.667 0.307

The 12 most intense peaks (10° ≤ 2θ ≤ 90°), in order of rising 2θ:
2θ/deg	Rel. int.
31.96	30
32.24	95
34.06	100
35.79	15
36.50	19
39.77	43
42.99	35
54.55	13
59.47	14
59.99	25
70.28	21
73.05	11